Starting from a cell relaxed with GGA-PBE, the powder X-ray diffraction pattern of ZnAg7 was simulated for Cu Ka.
Intensities are scaled so that the largest is 1000.

Top 10 peaks for 2θ from 15° to 90°, in order of rising 2θ:
- 2θ 37.23, rel. 1000, hkl 1 0 10
- 2θ 38.43, rel. 502, hkl 1 0 11
- 2θ 43.16, rel. 172, hkl 0 0 21
- 2θ 44.35, rel. 451, hkl 1 1 0
- 2θ 63.60, rel. 204, hkl 1 1 21
- 2θ 64.52, rel. 139, hkl 2 0 0
- 2θ 74.46, rel. 147, hkl 1 0 31
- 2θ 76.91, rel. 219, hkl 2 1 10
- 2θ 77.66, rel. 117, hkl 2 1 11
- 2θ 80.81, rel. 102, hkl 2 0 21

Atomic structure:
```
data_ZnAg7
_space_group_name_H-M_alt 'P 4/n m m'
_space_group_IT_number 129
_cell_length_a 2.8889
_cell_length_b 2.8889
_cell_length_c 44.0148
_cell_angle_alpha 90.00
_cell_angle_beta 90.00
_cell_angle_gamma 90.00
loop_
_space_group_symop_operation_xyz
'x,y,z'
'-x,-y,-z'
'-y+1/2,x,z'
'y+1/2,-x,-z'
'-x+1/2,-y+1/2,z'
'x+1/2,y+1/2,-z'
'y,-x+1/2,z'
'-y,x+1/2,-z'
'x+1/2,-y,-z'
'-x+1/2,y,z'
'-y,-x,-z'
'y,x,z'
'-x,y+1/2,-z'
'x,-y+1/2,z'
'y+1/2,x+1/2,-z'
'-y+1/2,-x+1/2,z'
loop_
_atom_site_label
_atom_site_type_symbol
_atom_site_fract_x
_atom_site_fract_y
_atom_site_fract_z
_atom_site_occupancy
Zn1 Zn 0.2500 0.2500 0.1397 1
Ag1 Ag 0.2500 0.2500 0.2338 1
Ag2 Ag 0.2500 0.2500 0.3313 1
Ag3 Ag 0.2500 0.2500 0.4279 1
Ag4 Ag 0.2500 0.2500 0.5240 1
Ag5 Ag 0.2500 0.2500 0.6203 1
Ag6 Ag 0.2500 0.2500 0.7173 1
Ag7 Ag 0.2500 0.2500 0.8154 1
```

Starting from a cell relaxed with GGA-PBE, the powder X-ray diffraction pattern of Lu4SnAuC2 was simulated for Cu Ka.
Intensities are scaled so that the largest is 1000.

Top 10 peaks for 2θ from 15° to 90°, in order of rising 2θ:
- 2θ 28.97, rel. 253, hkl 1 0 0
- 2θ 34.46, rel. 1000, hkl 1 0 3
- 2θ 37.03, rel. 153, hkl 0 0 6
- 2θ 47.68, rel. 134, hkl 1 0 6
- 2θ 51.34, rel. 236, hkl 1 1 0
- 2θ 63.31, rel. 176, hkl 2 0 3
- 2θ 64.98, rel. 183, hkl 1 1 6
- 2θ 65.09, rel. 113, hkl 1 0 9
- 2θ 85.77, rel. 158, hkl 2 1 3
- 2θ 87.37, rel. 53, hkl 2 0 9

Atomic structure:
```
data_Lu4SnAuC2
_space_group_name_H-M_alt 'P -6 m 2'
_space_group_IT_number 187
_space_group_name_Hall 'P -6 2'
_cell_length_a 3.5592
_cell_length_b 3.5592
_cell_length_c 14.5668
_cell_angle_alpha 90.00
_cell_angle_beta 90.00
_cell_angle_gamma 120.00
loop_
_atom_site_label
_atom_site_type_symbol
_atom_site_fract_x
_atom_site_fract_y
_atom_site_fract_z
_atom_site_occupancy
Lu1 Lu 0.0000 0.0000 0.1490 1
Lu2 Lu 0.3333 0.6667 0.3256 1
Sn1 Sn 0.0000 0.0000 0.5000 1
Au1 Au 0.3333 0.6667 0.0000 1
C1 C 0.6667 0.3333 0.2367 1
```

Starting from a cell relaxed with GGA-PBE, the powder X-ray diffraction pattern of Hf2Ni2SnGe was simulated for Cu Ka.
Intensities are scaled so that the largest is 1000.

Top 10 peaks for 2θ from 15° to 90°, in order of rising 2θ:
- 2θ 25.77, rel. 228, hkl 3 0 -1
- 2θ 29.84, rel. 499, hkl 2 0 2
- 2θ 42.71, rel. 1000, hkl 0 2 0
- 2θ 50.55, rel. 105, hkl 3 2 -1
- 2θ 52.97, rel. 139, hkl 2 2 2
- 2θ 61.99, rel. 163, hkl 4 2 -4
- 2θ 68.26, rel. 33, hkl 7 1 -1
- 2θ 70.30, rel. 183, hkl 2 3 -2
- 2θ 78.19, rel. 275, hkl 0 3 4
- 2θ 78.25, rel. 56, hkl 4 3 0

Atomic structure:
```
data_Hf2Ni2SnGe
_space_group_name_H-M_alt 'P 1 m 1'
_space_group_IT_number 6
_space_group_name_Hall 'P -2y'
_cell_length_a 10.3721
_cell_length_b 4.2316
_cell_length_c 10.3804
_cell_angle_alpha 90.00
_cell_angle_beta 109.50
_cell_angle_gamma 90.00
loop_
_atom_site_label
_atom_site_type_symbol
_atom_site_fract_x
_atom_site_fract_y
_atom_site_fract_z
_atom_site_occupancy
Hf1 Hf 0.0000 0.0000 0.0000 1
Hf2 Hf 0.1208 0.5000 0.3625 1
Hf3 Hf 0.2514 0.0000 0.7417 1
Hf4 Hf 0.3727 0.5000 0.1160 1
Hf5 Hf 0.4935 0.0000 0.4848 1
Hf6 Hf 0.6267 0.5000 0.8761 1
Hf7 Hf 0.7537 0.0000 0.2393 1
Hf8 Hf 0.8788 0.5000 0.6102 1
Ni1 Ni 0.0009 0.0000 0.7360 1
Ni2 Ni 0.1238 0.5000 0.1209 1
Ni3 Ni 0.2426 0.0000 0.4849 1
Ni4 Ni 0.3799 0.5000 0.8722 1
Ni5 Ni 0.4945 0.0000 0.2344 1
Ni6 Ni 0.6243 0.5000 0.6157 1
Ni7 Ni 0.7513 0.0000 0.9977 1
Ni8 Ni 0.8786 0.5000 0.3634 1
Sn1 Sn 0.1234 0.5000 0.8670 1
Sn2 Sn 0.3746 0.5000 0.6163 1
Sn3 Sn 0.6248 0.5000 0.3642 1
Sn4 Sn 0.7499 0.0000 0.7412 1
Ge1 Ge 0.0011 0.0000 0.4896 1
Ge2 Ge 0.2484 0.0000 0.2410 1
Ge3 Ge 0.4995 0.0000 0.9933 1
Ge4 Ge 0.8755 0.5000 0.1179 1
```

Starting from a cell relaxed with GGA-PBE, the powder X-ray diffraction pattern of Nd5Sn4 was simulated for Cu Ka.
Intensities are scaled so that the largest is 1000.

Top 10 peaks for 2θ from 15° to 90°, in order of rising 2θ:
- 2θ 29.07, rel. 1000, hkl 1 3 2
- 2θ 29.29, rel. 579, hkl 2 3 1
- 2θ 30.20, rel. 332, hkl 2 0 2
- 2θ 30.85, rel. 426, hkl 0 4 2
- 2θ 31.12, rel. 263, hkl 2 4 0
- 2θ 31.88, rel. 289, hkl 1 5 1
- 2θ 32.92, rel. 507, hkl 2 4 1
- 2θ 33.73, rel. 283, hkl 0 6 0
- 2θ 34.11, rel. 996, hkl 3 0 1
- 2θ 48.35, rel. 248, hkl 4 3 1

Atomic structure:
```
data_Nd5Sn4
_space_group_name_H-M_alt 'P n m a'
_space_group_IT_number 62
_space_group_name_Hall '-P 2ac 2n'
_cell_length_a 8.2941
_cell_length_b 15.9443
_cell_length_c 8.4462
_cell_angle_alpha 90.00
_cell_angle_beta 90.00
_cell_angle_gamma 90.00
loop_
_atom_site_label
_atom_site_type_symbol
_atom_site_fract_x
_atom_site_fract_y
_atom_site_fract_z
_atom_site_occupancy
Nd1 Nd 0.0172 0.0988 0.1805 1
Nd2 Nd 0.1315 0.6205 0.3370 1
Nd3 Nd 0.1991 0.2500 0.5021 1
Sn1 Sn 0.0676 0.2500 0.8859 1
Sn2 Sn 0.1771 0.7500 0.6425 1
Sn3 Sn 0.2087 0.0416 0.5363 1
```

Starting from a cell relaxed with GGA-PBE, the powder X-ray diffraction pattern of Tl5Au was simulated for Cu Ka.
Intensities are scaled so that the largest is 1000.

Top 10 peaks for 2θ from 15° to 90°, in order of rising 2θ:
- 2θ 29.89, rel. 1000, hkl 2 1 1
- 2θ 31.94, rel. 100, hkl 2 2 0
- 2θ 32.17, rel. 400, hkl 0 0 2
- 2θ 35.83, rel. 612, hkl 1 3 0
- 2θ 48.91, rel. 515, hkl 1 3 2
- 2θ 51.58, rel. 124, hkl 4 2 0
- 2θ 55.94, rel. 177, hkl 2 1 3
- 2θ 62.10, rel. 143, hkl 4 2 2
- 2θ 65.62, rel. 137, hkl 2 5 1
- 2θ 78.65, rel. 131, hkl 1 3 4

Atomic structure:
```
data_Tl5Au
_space_group_name_H-M_alt 'I 4/m'
_space_group_IT_number 87
_space_group_name_Hall '-I 4'
_cell_length_a 7.9250
_cell_length_b 7.9250
_cell_length_c 5.5654
_cell_angle_alpha 90.00
_cell_angle_beta 90.00
_cell_angle_gamma 90.00
loop_
_atom_site_label
_atom_site_type_symbol
_atom_site_fract_x
_atom_site_fract_y
_atom_site_fract_z
_atom_site_occupancy
Tl1 Tl 0.0000 0.0000 0.0000 1
Tl2 Tl 0.1300 0.3399 0.5000 1
Au1 Au 0.0000 0.0000 0.5000 1
```

Starting from a cell relaxed with GGA-PBE, the powder X-ray diffraction pattern of Hg was simulated for Cu Ka.
Intensities are scaled so that the largest is 1000.

Top 10 peaks for 2θ from 15° to 90°, in order of rising 2θ:
- 2θ 29.16, rel. 1000, hkl 1 0 1
- 2θ 40.71, rel. 416, hkl 1 1 0
- 2θ 42.69, rel. 365, hkl 0 1 2
- 2θ 50.86, rel. 221, hkl 0 2 1
- 2θ 60.46, rel. 132, hkl 2 0 2
- 2θ 67.09, rel. 195, hkl 2 1 1
- 2θ 69.92, rel. 173, hkl 1 1 3
- 2θ 74.10, rel. 74, hkl 3 0 0
- 2θ 75.46, rel. 141, hkl 1 2 2
- 2θ 79.50, rel. 62, hkl 1 0 4

Atomic structure:
```
data_Hg
_space_group_name_H-M_alt 'P 31 2 1'
_space_group_IT_number 152
_space_group_name_Hall 'P 31 2"'
_cell_length_a 4.4323
_cell_length_b 4.4323
_cell_length_c 5.0796
_cell_angle_alpha 90.00
_cell_angle_beta 90.00
_cell_angle_gamma 120.00
loop_
_atom_site_label
_atom_site_type_symbol
_atom_site_fract_x
_atom_site_fract_y
_atom_site_fract_z
_atom_site_occupancy
Hg1 Hg 0.0000 0.3322 0.1667 1
```